[1]
Calculated powder diffraction line list of Tl3Ag for Cu Kα, 1.54184 Å, from DFT lattice parameters and positions (PBE).
No peak broadening, texture or thermal motion is included.

Crystal structure
Cell lengths 4.8101, 4.8101, 4.8101 Å; angles 90.00, 90.00, 90.00 degrees
Sites, in units of the cell vectors:
Tl1 0.0000 0.0000 0.5000
Tl2 0.0000 0.5000 0.0000
Tl3 0.5000 0.0000 0.0000
Ag1 0.5000 0.5000 0.5000

Most intense lines, 15 to 90 degrees two-theta, in order of rising 2θ:
2θ (°), d (Å), intensity
18.4, 4.810, 4
26.2, 3.401, 4
32.2, 2.777, 100
37.4, 2.405, 50
42.0, 2.151, 2
53.9, 1.701, 35
64.2, 1.450, 42
67.4, 1.389, 12
79.7, 1.203, 6
88.6, 1.104, 18

***

[2]
Calculated powder diffraction line list of Y2Fe17C for Cu Kα, 1.54184 Å, from DFT lattice parameters and positions (PBE).
No peak broadening, texture or thermal motion is included.

Crystal structure
Cell lengths 6.4534, 6.4534, 6.4325 Å; angles 96.93, 96.93, 83.47 degrees
Sites, in units of the cell vectors:
Y1 0.1604 0.1604 0.3506
Y2 0.8396 0.8396 0.6494
Fe1 0.0000 0.5000 0.0000
Fe2 0.1564 0.1564 0.8494
Fe3 0.1585 0.6499 0.3431
Fe4 0.2090 0.5000 0.7093
Fe5 0.2141 0.7859 0.0000
Fe6 0.3501 0.8415 0.6569
Fe7 0.4034 0.4034 0.0975
Fe8 0.5000 0.0000 0.0000
Fe9 0.5000 0.2090 0.7093
Fe10 0.5000 0.5000 0.5000
Fe11 0.5000 0.7910 0.2907
Fe12 0.5966 0.5966 0.9025
Fe13 0.6499 0.1585 0.3431
Fe14 0.7859 0.2141 0.0000
Fe15 0.7910 0.5000 0.2907
Fe16 0.8415 0.3501 0.6569
Fe17 0.8436 0.8436 0.1506
C1 0.0000 0.0000 0.0000

Most intense lines, 15 to 90 degrees two-theta, in order of rising 2θ:
2θ (°), d (Å), intensity
30.0, 2.976, 29
36.3, 2.476, 34
37.8, 2.380, 44
42.1, 2.148, 38
42.3, 2.136, 70
42.6, 2.125, 100
42.7, 2.116, 54
43.7, 2.069, 57
43.9, 2.063, 26
47.9, 1.898, 52